# 1
Theoretical powder X-ray diffraction pattern
Compound: AcZn2Au3
Radiation: copper Kα
Structure: DFT lattice parameters and positions (PBE)

Cell and atoms:
```
AcZn2Au3
1.0
5.3166 -4.4710 0.0000
5.3166 4.4710 0.0000
0.0000 0.0000 5.4449
Ac Zn Au
2 4 6
direct
0.1919 0.8081 0.7500
0.8081 0.1919 0.2500
0.2852 0.2852 0.0000
0.2852 0.2852 0.5000
0.7148 0.7148 0.0000
0.7148 0.7148 0.5000
0.0333 0.6075 0.2500
0.3925 0.9667 0.2500
0.4394 0.5606 0.2500
0.5606 0.4394 0.7500
0.6075 0.0333 0.7500
0.9667 0.3925 0.7500
```

Most intense lines, 2θ from 15° to 90°, by angle:
Position (°2θ)  Rel. int.
30.86  66
31.16  36
31.74  100
32.90  40
38.72  31
42.43  20
42.97  75
58.02  19
62.54  19
65.74  22



# 2
Theoretical powder X-ray diffraction pattern
Compound: BeAlV2Bi
Radiation: copper Kα
Structure: DFT lattice parameters and positions (PBE)

Cell and atoms:
```
BeAlV2Bi
1.0
5.1866 0.0000 0.0000
0.0000 5.1866 0.0000
0.0000 0.0000 4.4538
Be Al V Bi
1 1 2 1
direct
0.0000 0.0000 0.0000
0.5000 0.5000 0.0000
0.0000 0.5000 0.5000
0.5000 0.0000 0.5000
0.0000 0.0000 0.5000
```

Most intense lines, 2θ from 15° to 90°, by angle:
Position (°2θ)  Rel. int.
17.10  91
19.94  71
24.27  22
26.38  100
34.59  56
38.82  25
40.24  48
44.02  52
54.08  20
54.30  30



# 3
Theoretical powder X-ray diffraction pattern
Compound: Mg2Be2Se
Radiation: copper Kα
Structure: DFT lattice parameters and positions (PBE)

Cell and atoms:
```
Mg2Be2Se
1.0
-1.6518 1.6518 7.6674
1.6518 -1.6518 7.6674
1.6518 1.6518 -7.6674
Mg Be Se
2 2 1
direct
0.1040 0.1040 0.0000
0.8960 0.8960 0.0000
0.2500 0.7500 0.5000
0.7500 0.2500 0.5000
0.5000 0.5000 0.0000
```

Most intense lines, 2θ from 15° to 90°, by angle:
Position (°2θ)  Rel. int.
27.62  23
32.26  100
38.54  44
40.12  94
40.36  60
49.95  22
55.64  21
65.80  24
70.79  34
73.93  17



# 4
Theoretical powder X-ray diffraction pattern
Compound: Rb2Ag2O3
Radiation: copper Kα
Structure: DFT lattice parameters and positions (PBE)

Cell and atoms:
```
Rb2Ag2O3
1.0
6.0841 -2.1828 0.0000
6.0841 2.1828 0.0000
-2.1351 0.0000 5.4266
Rb Ag O
2 2 3
direct
0.0945 0.0945 0.3245
0.9055 0.9055 0.6755
0.3450 0.3450 0.1741
0.6550 0.6550 0.8259
0.1780 0.1780 0.8671
0.5000 0.5000 0.5000
0.8220 0.8220 0.1329
```

Most intense lines, 2θ from 15° to 90°, by angle:
Position (°2θ)  Rel. int.
18.03  42
25.56  24
29.09  100
29.78  23
30.89  36
31.09  78
31.61  30
41.36  36
41.86  21
52.53  23